Diffraction record for NaH2Pb2. The XRD peak list is theoretical, not measured: it uses a cell relaxed with GGA-PBE and Cu Kα (λ = 1.5418 Å).
Peak positions follow from Bragg's law for the DFT cell and can differ from measured ones.

Largest 12 diffraction maxima, in order of falling intensity, 10 to 90 degrees two-theta:
- 19.14 deg, intensity 1000
- 35.96 deg, intensity 932
- 30.15 deg, intensity 751
- 33.23 deg, intensity 619
- 49.94 deg, intensity 381
- 26.90 deg, intensity 378
- 61.01 deg, intensity 359
- 71.41 deg, intensity 232
- 38.85 deg, intensity 230
- 57.32 deg, intensity 219
- 43.20 deg, intensity 209
- 62.76 deg, intensity 198

Structural model:
```
data_NaH2Pb2
_space_group_name_H-M_alt 'P 4/m b m'
_space_group_IT_number 127
_space_group_name_Hall '-P 4 2ab'
_cell_length_a 6.628
_cell_length_b 6.628
_cell_length_c 4.637
_cell_angle_alpha 90.00
_cell_angle_beta 90.00
_cell_angle_gamma 90.00
loop_
_atom_site_label
_atom_site_fract_x
_atom_site_fract_y
_atom_site_fract_z
_atom_site_occupancy
Na1 0.000 0.000 0.000 1
H1 0.205 0.295 0.000 1
Pb1 0.182 0.318 0.500 1
```

***

Diffraction record for NaH8Pd5. The XRD peak list is theoretical, not measured: it uses a cell relaxed with GGA-PBE and Cu Kα (λ = 1.5418 Å).
Peak positions follow from Bragg's law for the DFT cell and can differ from measured ones.

Largest 12 diffraction maxima, in order of falling intensity, 10 to 90 degrees two-theta:
- 36.00 deg, intensity 1000
- 35.22 deg, intensity 627
- 42.40 deg, intensity 563
- 35.09 deg, intensity 546
- 39.08 deg, intensity 428
- 73.91 deg, intensity 255
- 59.11 deg, intensity 233
- 68.84 deg, intensity 211
- 11.53 deg, intensity 204
- 38.36 deg, intensity 202
- 20.38 deg, intensity 178
- 58.93 deg, intensity 168

Structural model:
```
data_NaH8Pd5
_space_group_name_H-M_alt 'P 1 2/m 1'
_space_group_IT_number 10
_cell_length_a 5.526
_cell_length_b 2.966
_cell_length_c 7.686
_cell_angle_alpha 90.00
_cell_angle_beta 93.40
_cell_angle_gamma 90.00
loop_
_space_group_symop_operation_xyz
'x,y,z'
'-x,-y,-z'
'-x,y,-z'
'x,-y,z'
loop_
_atom_site_label
_atom_site_fract_x
_atom_site_fract_y
_atom_site_fract_z
_atom_site_occupancy
Na1 0.000 0.000 0.000 1
H1 0.011 0.500 0.720 1
H2 0.310 0.500 0.546 1
H3 0.329 0.500 0.069 1
H4 0.484 0.000 0.752 1
Pd1 0.178 0.000 0.640 1
Pd2 0.319 0.500 0.307 1
Pd3 0.500 0.000 0.000 1
```

***

Diffraction record for NaH5Pd4. The XRD peak list is theoretical, not measured: it uses a cell relaxed with GGA-PBE and Cu Kα (λ = 1.5418 Å).
Peak positions follow from Bragg's law for the DFT cell and can differ from measured ones.

Largest 12 diffraction maxima, in order of falling intensity, 10 to 90 degrees two-theta:
- 37.49 deg, intensity 1000
- 15.69 deg, intensity 491
- 37.62 deg, intensity 468
- 35.59 deg, intensity 287
- 35.51 deg, intensity 283
- 45.43 deg, intensity 193
- 22.26 deg, intensity 130
- 69.80 deg, intensity 117
- 69.61 deg, intensity 105
- 56.98 deg, intensity 101
- 48.23 deg, intensity 90
- 48.48 deg, intensity 87

Structural model:
```
data_NaH5Pd4
_space_group_name_H-M_alt 'P 1'
_space_group_IT_number 1
_cell_length_a 3.232
_cell_length_b 5.855
_cell_length_c 5.883
_cell_angle_alpha 85.81
_cell_angle_beta 74.20
_cell_angle_gamma 74.17
loop_
_space_group_symop_operation_xyz
'x,y,z'
loop_
_atom_site_label
_atom_site_fract_x
_atom_site_fract_y
_atom_site_fract_z
_atom_site_occupancy
Na1 0.000 0.000 0.000 1
H1 0.247 0.389 0.107 1
H2 0.361 0.892 0.389 1
H3 0.644 0.106 0.611 1
H4 0.744 0.498 0.500 1
H5 0.746 0.611 0.893 1
Pd1 0.159 0.204 0.474 1
Pd2 0.363 0.475 0.796 1
Pd3 0.635 0.525 0.203 1
Pd4 0.839 0.795 0.525 1
```

***

Diffraction record for Na3H3Pd2. The XRD peak list is theoretical, not measured: it uses a cell relaxed with GGA-PBE and Cu Kα (λ = 1.5418 Å).
Peak positions follow from Bragg's law for the DFT cell and can differ from measured ones.

Largest 12 diffraction maxima, in order of falling intensity, 10 to 90 degrees two-theta:
- 19.53 deg, intensity 1000
- 21.06 deg, intensity 598
- 36.02 deg, intensity 517
- 39.29 deg, intensity 476
- 40.12 deg, intensity 295
- 34.30 deg, intensity 290
- 21.26 deg, intensity 257
- 37.05 deg, intensity 240
- 50.18 deg, intensity 207
- 33.75 deg, intensity 206
- 40.60 deg, intensity 147
- 32.04 deg, intensity 145

Structural model:
```
data_Na3H3Pd2
_space_group_name_H-M_alt 'P n m a'
_space_group_IT_number 62
_cell_length_a 5.395
_cell_length_b 10.623
_cell_length_c 8.436
_cell_angle_alpha 90.00
_cell_angle_beta 90.00
_cell_angle_gamma 90.00
loop_
_space_group_symop_operation_xyz
'x,y,z'
'-x,-y,-z'
'-x+1/2,-y,z+1/2'
'x+1/2,y,-z+1/2'
'x+1/2,-y+1/2,-z+1/2'
'-x+1/2,y+1/2,z+1/2'
'-x,y+1/2,-z'
'x,-y+1/2,z'
loop_
_atom_site_label
_atom_site_fract_x
_atom_site_fract_y
_atom_site_fract_z
_atom_site_occupancy
Na1 0.081 0.074 0.163 1
Na2 0.119 0.250 0.840 1
H1 0.181 0.531 0.425 1
H2 0.222 0.750 0.968 1
Pd1 0.085 0.120 0.508 1
```

***

Diffraction record for NaH2Pd3. The XRD peak list is theoretical, not measured: it uses a cell relaxed with GGA-PBE and Cu Kα (λ = 1.5418 Å).
Peak positions follow from Bragg's law for the DFT cell and can differ from measured ones.

Largest 12 diffraction maxima, in order of falling intensity, 10 to 90 degrees two-theta:
- 37.84 deg, intensity 1000
- 45.15 deg, intensity 308
- 78.45 deg, intensity 227
- 63.02 deg, intensity 220
- 41.54 deg, intensity 196
- 18.65 deg, intensity 183
- 73.34 deg, intensity 138
- 20.43 deg, intensity 78
- 36.88 deg, intensity 64
- 80.79 deg, intensity 53
- 80.91 deg, intensity 53
- 65.70 deg, intensity 48

Structural model:
```
data_NaH2Pd3
_space_group_name_H-M_alt 'C m m m'
_space_group_IT_number 65
_space_group_name_Hall '-C 2 2'
_cell_length_a 5.685
_cell_length_b 8.696
_cell_length_c 2.837
_cell_angle_alpha 90.00
_cell_angle_beta 90.00
_cell_angle_gamma 90.00
loop_
_atom_site_label
_atom_site_fract_x
_atom_site_fract_y
_atom_site_fract_z
_atom_site_occupancy
Na1 0.000 0.000 0.000 1
H1 0.000 0.286 0.000 1
Pd1 0.000 0.500 0.000 1
Pd2 0.250 0.250 0.500 1
```

***

Diffraction record for NaH7Pd2. The XRD peak list is theoretical, not measured: it uses a cell relaxed with GGA-PBE and Cu Kα (λ = 1.5418 Å).
Peak positions follow from Bragg's law for the DFT cell and can differ from measured ones.

Largest 12 diffraction maxima, in order of falling intensity, 10 to 90 degrees two-theta:
- 33.41 deg, intensity 1000
- 25.06 deg, intensity 826
- 31.61 deg, intensity 716
- 18.96 deg, intensity 716
- 42.21 deg, intensity 601
- 34.14 deg, intensity 549
- 31.87 deg, intensity 511
- 47.22 deg, intensity 449
- 58.43 deg, intensity 386
- 42.82 deg, intensity 351
- 62.72 deg, intensity 310
- 19.38 deg, intensity 287

Structural model:
```
data_NaH7Pd2
_space_group_name_H-M_alt 'C m m m'
_space_group_IT_number 65
_space_group_name_Hall '-C 2 2'
_cell_length_a 5.252
_cell_length_b 9.359
_cell_length_c 3.554
_cell_angle_alpha 90.00
_cell_angle_beta 90.00
_cell_angle_gamma 90.00
loop_
_atom_site_label
_atom_site_fract_x
_atom_site_fract_y
_atom_site_fract_z
_atom_site_occupancy
Na1 0.000 0.000 0.000 1
H1 0.000 0.325 0.000 1
H2 0.000 0.500 0.500 1
H3 0.180 0.148 0.500 1
Pd1 0.000 0.313 0.500 1
```

***

Diffraction record for Na2H3Pd2. The XRD peak list is theoretical, not measured: it uses a cell relaxed with GGA-PBE and Cu Kα (λ = 1.5418 Å).
Peak positions follow from Bragg's law for the DFT cell and can differ from measured ones.

Largest 12 diffraction maxima, in order of falling intensity, 10 to 90 degrees two-theta:
- 21.70 deg, intensity 1000
- 32.48 deg, intensity 600
- 43.82 deg, intensity 572
- 31.65 deg, intensity 450
- 36.37 deg, intensity 422
- 36.09 deg, intensity 415
- 36.74 deg, intensity 385
- 37.28 deg, intensity 371
- 16.07 deg, intensity 358
- 15.67 deg, intensity 344
- 44.23 deg, intensity 266
- 23.32 deg, intensity 247

Structural model:
```
data_Na2H3Pd2
_space_group_name_H-M_alt 'P -1'
_space_group_IT_number 2
_cell_length_a 2.837
_cell_length_b 5.529
_cell_length_c 5.834
_cell_angle_alpha 93.85
_cell_angle_beta 103.69
_cell_angle_gamma 90.39
loop_
_space_group_symop_operation_xyz
'x,y,z'
'-x,-y,-z'
loop_
_atom_site_label
_atom_site_fract_x
_atom_site_fract_y
_atom_site_fract_z
_atom_site_occupancy
Na1 0.141 0.198 0.286 1
H1 0.000 0.500 0.000 1
H2 0.171 0.794 0.347 1
Pd1 0.409 0.319 0.813 1
```

***

Diffraction record for NaH4Pd3. The XRD peak list is theoretical, not measured: it uses a cell relaxed with GGA-PBE and Cu Kα (λ = 1.5418 Å).
Peak positions follow from Bragg's law for the DFT cell and can differ from measured ones.

Largest 12 diffraction maxima, in order of falling intensity, 10 to 90 degrees two-theta:
- 37.55 deg, intensity 1000
- 41.29 deg, intensity 286
- 23.49 deg, intensity 258
- 62.52 deg, intensity 218
- 82.53 deg, intensity 197
- 59.81 deg, intensity 165
- 65.16 deg, intensity 141
- 33.46 deg, intensity 118
- 70.30 deg, intensity 99
- 54.15 deg, intensity 52
- 80.13 deg, intensity 37
- 48.04 deg, intensity 34

Structural model:
```
data_NaH4Pd3
_space_group_name_H-M_alt 'P m -3 n'
_space_group_IT_number 223
_space_group_name_Hall '-P 4n 2 3'
_cell_length_a 5.356
_cell_length_b 5.356
_cell_length_c 5.356
_cell_angle_alpha 90.00
_cell_angle_beta 90.00
_cell_angle_gamma 90.00
loop_
_atom_site_label
_atom_site_fract_x
_atom_site_fract_y
_atom_site_fract_z
_atom_site_occupancy
Na1 0.000 0.000 0.000 1
H1 0.250 0.250 0.250 1
Pd1 0.000 0.250 0.500 1
```

***

Diffraction record for Na5H4Pd. The XRD peak list is theoretical, not measured: it uses a cell relaxed with GGA-PBE and Cu Kα (λ = 1.5418 Å).
Peak positions follow from Bragg's law for the DFT cell and can differ from measured ones.

Largest 12 diffraction maxima, in order of falling intensity, 10 to 90 degrees two-theta:
- 11.01 deg, intensity 1000
- 13.17 deg, intensity 899
- 34.03 deg, intensity 788
- 33.46 deg, intensity 539
- 39.62 deg, intensity 526
- 30.61 deg, intensity 511
- 31.07 deg, intensity 472
- 15.17 deg, intensity 430
- 53.10 deg, intensity 279
- 52.51 deg, intensity 219
- 38.01 deg, intensity 203
- 41.12 deg, intensity 154

Structural model:
```
data_Na5H4Pd
_space_group_name_H-M_alt 'C 1 2/m 1'
_space_group_IT_number 12
_cell_length_a 16.490
_cell_length_b 3.026
_cell_length_c 6.898
_cell_angle_alpha 90.00
_cell_angle_beta 102.98
_cell_angle_gamma 90.00
loop_
_space_group_symop_operation_xyz
'x,y,z'
'-x,-y,-z'
'-x,y,-z'
'x,-y,z'
'x+1/2,y+1/2,z'
'-x+1/2,-y+1/2,-z'
'-x+1/2,y+1/2,-z'
'x+1/2,-y+1/2,z'
loop_
_atom_site_label
_atom_site_fract_x
_atom_site_fract_y
_atom_site_fract_z
_atom_site_occupancy
Na1 0.000 0.000 0.000 1
Na2 0.155 0.500 0.800 1
Na3 0.164 0.500 0.365 1
H1 0.002 0.500 0.346 1
H2 0.195 0.000 0.613 1
Pd1 0.000 0.000 0.500 1
```

***

Diffraction record for NaH3Pd4. The XRD peak list is theoretical, not measured: it uses a cell relaxed with GGA-PBE and Cu Kα (λ = 1.5418 Å).
Peak positions follow from Bragg's law for the DFT cell and can differ from measured ones.

Largest 12 diffraction maxima, in order of falling intensity, 10 to 90 degrees two-theta:
- 38.22 deg, intensity 1000
- 39.46 deg, intensity 709
- 37.56 deg, intensity 583
- 13.10 deg, intensity 442
- 37.10 deg, intensity 331
- 19.66 deg, intensity 327
- 45.46 deg, intensity 290
- 53.82 deg, intensity 225
- 46.24 deg, intensity 196
- 68.22 deg, intensity 171
- 32.37 deg, intensity 160
- 39.98 deg, intensity 146

Structural model:
```
data_NaH3Pd4
_space_group_name_H-M_alt 'C 1 c 1'
_space_group_IT_number 9
_cell_length_a 13.874
_cell_length_b 4.789
_cell_length_c 5.676
_cell_angle_alpha 90.00
_cell_angle_beta 102.94
_cell_angle_gamma 90.00
loop_
_space_group_symop_operation_xyz
'x,y,z'
'x,-y,z+1/2'
'x+1/2,y+1/2,z'
'x+1/2,-y+1/2,z+1/2'
loop_
_atom_site_label
_atom_site_fract_x
_atom_site_fract_y
_atom_site_fract_z
_atom_site_occupancy
Na1 0.000 0.003 0.000 1
H1 0.172 0.236 0.606 1
H2 0.323 0.271 0.393 1
H3 0.489 0.006 0.030 1
Pd1 0.101 0.488 0.767 1
Pd2 0.215 0.007 0.371 1
Pd3 0.284 0.496 0.627 1
Pd4 0.398 0.008 0.238 1
```

***

Diffraction record for NaH3Pd5. The XRD peak list is theoretical, not measured: it uses a cell relaxed with GGA-PBE and Cu Kα (λ = 1.5418 Å).
Peak positions follow from Bragg's law for the DFT cell and can differ from measured ones.

Largest 12 diffraction maxima, in order of falling intensity, 10 to 90 degrees two-theta:
- 37.20 deg, intensity 1000
- 42.71 deg, intensity 694
- 38.19 deg, intensity 502
- 38.53 deg, intensity 481
- 46.23 deg, intensity 271
- 64.52 deg, intensity 184
- 64.99 deg, intensity 177
- 75.82 deg, intensity 126
- 76.26 deg, intensity 114
- 18.06 deg, intensity 113
- 63.59 deg, intensity 112
- 73.73 deg, intensity 109

Structural model:
```
data_NaH3Pd5
_space_group_name_H-M_alt 'C 1 2/m 1'
_space_group_IT_number 12
_cell_length_a 9.754
_cell_length_b 6.132
_cell_length_c 8.407
_cell_angle_alpha 90.00
_cell_angle_beta 122.76
_cell_angle_gamma 90.00
loop_
_space_group_symop_operation_xyz
'x,y,z'
'-x,-y,-z'
'-x,y,-z'
'x,-y,z'
'x+1/2,y+1/2,z'
'-x+1/2,-y+1/2,-z'
'-x+1/2,y+1/2,-z'
'x+1/2,-y+1/2,z'
loop_
_atom_site_label
_atom_site_fract_x
_atom_site_fract_y
_atom_site_fract_z
_atom_site_occupancy
Na1 0.099 0.000 0.318 1
H1 0.000 0.000 0.000 1
H2 0.000 0.000 0.500 1
H3 0.127 0.500 0.722 1
H4 0.186 0.500 0.209 1
Pd1 0.000 0.279 0.000 1
Pd2 0.084 0.500 0.343 1
Pd3 0.159 0.225 0.668 1
Pd4 0.246 0.000 0.011 1
```

***

Diffraction record for Na3H7Pd2. The XRD peak list is theoretical, not measured: it uses a cell relaxed with GGA-PBE and Cu Kα (λ = 1.5418 Å).
Peak positions follow from Bragg's law for the DFT cell and can differ from measured ones.

Largest 12 diffraction maxima, in order of falling intensity, 10 to 90 degrees two-theta:
- 34.48 deg, intensity 1000
- 24.96 deg, intensity 568
- 34.91 deg, intensity 522
- 62.33 deg, intensity 343
- 19.07 deg, intensity 309
- 50.20 deg, intensity 191
- 40.08 deg, intensity 160
- 61.50 deg, intensity 153
- 56.86 deg, intensity 113
- 42.10 deg, intensity 99
- 72.71 deg, intensity 94
- 50.78 deg, intensity 92

Structural model:
```
data_Na3H7Pd2
_space_group_name_H-M_alt 'I 4/m m m'
_space_group_IT_number 139
_space_group_name_Hall '-I 4 2'
_cell_length_a 3.634
_cell_length_b 3.634
_cell_length_c 18.619
_cell_angle_alpha 90.00
_cell_angle_beta 90.00
_cell_angle_gamma 90.00
loop_
_atom_site_label
_atom_site_fract_x
_atom_site_fract_y
_atom_site_fract_z
_atom_site_occupancy
Na1 0.000 0.000 0.000 1
Na2 0.000 0.000 0.183 1
H1 0.000 0.000 0.309 1
H2 0.000 0.000 0.500 1
H3 0.000 0.500 0.094 1
Pd1 0.000 0.000 0.404 1
```